# 1
Structure and computed X-ray diffraction stick pattern of VO2 (a cell relaxed with GGA+U; Cu Ka).

Cell and atoms:
Cell: 5.8981 5.9028 5.9197 Å, 119.12 119.21 91.16°
Positions (direct):
V  0.0000  0.0000  0.0000
V  0.0000  0.0000  0.5000
V  0.0000  0.5000  0.0000
V  0.5000  0.0000  0.5000
O  0.2013  0.2428  0.9651
O  0.2254  0.2001  0.4617
O  0.2323  0.7722  0.0313
O  0.2417  0.7687  0.4704
O  0.7583  0.2313  0.5296
O  0.7677  0.2278  0.9687
O  0.7746  0.7999  0.5383
O  0.7987  0.7572  0.0349

Main lines, by angle (10 to 80 degrees two-theta):
18.3 deg, I = 1000, hkl 1 0 0; 35.1 deg, I = 103, hkl 0 1 1; 35.4 deg, I = 102, hkl 2 -1 0; 35.9 deg, I = 101, hkl 1 2 -2; 42.6 deg, I = 170, hkl 0 0 2; 42.9 deg, I = 165, hkl 2 -2 0; 43.8 deg, I = 155, hkl 2 2 -2; 63.0 deg, I = 81, hkl 4 0 -2

---

# 2
Structure and computed X-ray diffraction stick pattern of VO2 (a cell relaxed with GGA+U; Cu Ka).

Cell and atoms:
Cell: 2.9380 4.9496 9.3574 Å, 90.03 92.42 90.38°
Positions (direct):
V  0.0000  0.0000  0.0000
V  0.0048  0.3416  0.4980
V  0.5129  0.8411  0.2745
V  0.5235  0.4943  0.7713
O  0.0177  0.7120  0.1645
O  0.0270  0.6281  0.6599
O  0.4960  0.5407  0.4045
O  0.5020  0.1276  0.1152
O  0.5175  0.2179  0.6158
O  0.5350  0.8157  0.9000
O  0.9956  0.3178  0.8774
O  0.9992  0.0380  0.3763

Main lines, by angle (10 to 80 degrees two-theta):
20.3 deg, I = 1000, hkl 0 1 1; 26.2 deg, I = 300, hkl 0 1 -2; 34.0 deg, I = 280, hkl 0 1 -3; 35.4 deg, I = 214, hkl 1 0 -2; 36.8 deg, I = 136, hkl 1 0 2; 41.3 deg, I = 96, hkl 1 1 2; 46.9 deg, I = 128, hkl 0 2 3; 63.4 deg, I = 87, hkl 2 0 0

---

# 3
Structure and computed X-ray diffraction stick pattern of VO2 (a cell relaxed with GGA+U; Cu Ka).

Cell and atoms:
Cell: 3.0092 8.7582 10.6670 Å, 90.28 90.24 91.81°
Positions (direct):
V  0.0000  0.0000  0.0000
V  0.0003  0.4933  0.2917
V  0.0208  0.9837  0.5085
V  0.0259  0.4884  0.7864
V  0.4744  0.8655  0.2784
V  0.4834  0.8589  0.7898
V  0.4846  0.3559  0.5032
V  0.5111  0.3656  0.0108
O  0.0166  0.5009  0.9692
O  0.0303  0.7135  0.2550
O  0.4635  0.1355  0.5333
O  0.4649  0.6351  0.7556
O  0.4965  0.4429  0.1781
O  0.4996  0.0405  0.8755
O  0.4997  0.9495  0.1090
O  0.5016  0.8538  0.4674
O  0.5036  0.3538  0.8254
O  0.5050  0.5374  0.4124
O  0.9795  0.8165  0.9113
O  0.9807  0.3130  0.3777
O  0.9838  0.9027  0.6783
O  0.9883  0.4035  0.6115
O  0.9946  0.9959  0.3193
O  0.9990  0.2183  0.0295

Main lines, by angle (10 to 80 degrees two-theta):
16.6 deg, I = 186, hkl 0 0 2; 19.5 deg, I = 728, hkl 0 1 2; 20.3 deg, I = 1000, hkl 0 2 0; 33.6 deg, I = 277, hkl 0 0 4; 35.0 deg, I = 149, hkl 0 3 -2; 35.5 deg, I = 358, hkl 1 -1 2; 50.8 deg, I = 203, hkl 1 -4 0; 52.5 deg, I = 147, hkl 1 4 0

---

# 4
Structure and computed X-ray diffraction stick pattern of V2O5 (a cell relaxed with GGA+U; Cu Ka).

Cell and atoms:
Cell: 3.6187 11.5515 4.7973 Å, 90.00 90.00 90.00°
Positions (direct):
V  0.2500  0.1005  0.1117
V  0.2500  0.3995  0.1117
V  0.7500  0.6005  0.8883
V  0.7500  0.8995  0.8883
O  0.2500  0.1050  0.4471
O  0.2500  0.2500  0.0013
O  0.2500  0.3950  0.4471
O  0.2500  0.5682  0.9883
O  0.2500  0.9318  0.9883
O  0.7500  0.0682  0.0117
O  0.7500  0.4318  0.0117
O  0.7500  0.6050  0.5529
O  0.7500  0.7500  0.9987
O  0.7500  0.8950  0.5529

Main lines, by angle (10 to 80 degrees two-theta):
15.3 deg, I = 338, hkl 0 2 0; 18.5 deg, I = 1000, hkl 0 0 1; 20.0 deg, I = 385, hkl 0 1 1; 25.8 deg, I = 650, hkl 1 1 0; 29.8 deg, I = 348, hkl 0 3 1; 31.0 deg, I = 590, hkl 0 4 0; 34.0 deg, I = 259, hkl 1 3 0; 50.4 deg, I = 200, hkl 2 0 0